Starting from DFT lattice parameters and positions (GGA-PBE), the XRD peak list of BaCd3Rh was calculated for Cu Ka.

Cell and atoms:
Cell lengths 5.904, 7.053, 7.278 Å; angles 62.16, 73.95, 86.33 degrees
Space group P-1 (No. 2)
Asymmetric unit:
Ba (0.198, 0.058, 0.160)
Cd (0.078, 0.499, 0.676)
Cd (0.311, 0.649, 0.916)
Cd (0.389, 0.159, 0.570)
Rh (0.427, 0.587, 0.291)

Main lines, low angle first (2θ from 15° to 90°):
| h k l | 2θ (°) | d_spacing | I (rel.) |
| --- | --- | --- | --- |
| 0 2 0 | 28.75 | 3.105 | 43 |
| 1 2 2 | 30.84 | 2.899 | 46 |
| 1 -2 0 | 31.76 | 2.817 | 100 |
| 1 1 -1 | 32.03 | 2.794 | 88 |
| 2 1 2 | 34.94 | 2.568 | 77 |
| 1 -1 2 | 37.55 | 2.395 | 33 |
| -2 1 1 | 37.73 | 2.384 | 83 |
| 0 1 -2 | 38.12 | 2.361 | 35 |
| 0 1 3 | 39.11 | 2.303 | 43 |
| 0 2 3 | 39.58 | 2.277 | 32 |

Starting from DFT lattice parameters and positions (GGA-PBE), the XRD peak list of Ac6Ru2Pb3 was calculated for Cu Ka.

Cell and atoms:
Cell lengths 5.592, 5.592, 26.443 Å; angles 90.00, 90.00, 90.00 degrees
Space group I4/mmm (No. 139)
Asymmetric unit:
Ac (0.000, 0.000, 0.201)
Ac (0.000, 0.500, 0.084)
Ru (0.000, 0.000, 0.100)
Pb (0.000, 0.000, 0.327)
Pb (0.000, 0.000, 0.500)

Main lines, low angle first (2θ from 15° to 90°):
| h k l | 2θ (°) | d_spacing | I (rel.) |
| --- | --- | --- | --- |
| 1 1 2 | 23.48 | 3.788 | 53 |
| 1 1 4 | 26.26 | 3.394 | 16 |
| 1 0 7 | 28.51 | 3.130 | 30 |
| 1 1 6 | 30.37 | 2.943 | 100 |
| 2 0 0 | 32.01 | 2.796 | 97 |
| 2 1 7 | 43.39 | 2.085 | 20 |
| 2 2 0 | 45.90 | 1.977 | 36 |
| 2 0 10 | 47.30 | 1.922 | 29 |
| 3 1 6 | 56.03 | 1.641 | 37 |
| 4 2 0 | 76.12 | 1.250 | 17 |

Starting from DFT lattice parameters and positions (GGA-PBE), the XRD peak list of DyTm3H8 was calculated for Cu Ka.

Cell and atoms:
Cell lengths 5.093, 5.093, 5.093 Å; angles 90.00, 90.00, 90.00 degrees
Space group Pm-3m (No. 221)
Asymmetric unit:
Dy (0.000, 0.000, 0.000)
Tm (0.000, 0.500, 0.500)
H (0.253, 0.253, 0.253)

Main lines, low angle first (2θ from 15° to 90°):
| h k l | 2θ (°) | d_spacing | I (rel.) |
| --- | --- | --- | --- |
| 1 1 1 | 30.40 | 2.940 | 100 |
| 2 0 0 | 35.24 | 2.546 | 49 |
| 2 2 0 | 50.70 | 1.801 | 37 |
| 3 1 1 | 60.27 | 1.536 | 43 |
| 2 2 2 | 63.25 | 1.470 | 12 |
| 4 0 0 | 74.53 | 1.273 | 6 |
| 3 3 1 | 82.57 | 1.168 | 18 |
| 4 2 0 | 85.21 | 1.139 | 17 |

Starting from DFT lattice parameters and positions (GGA-PBE), the XRD peak list of Ga3SnPb3 was calculated for Cu Ka.

Cell and atoms:
Cell lengths 7.831, 7.831, 7.831 Å; angles 90.00, 90.00, 90.00 degrees
Space group Pm-3n (No. 223)
Asymmetric unit:
Ga (0.000, 0.250, 0.500)
Sn (0.000, 0.000, 0.000)
Pb (0.000, 0.500, 0.250)

Main lines, low angle first (2θ from 15° to 90°):
| h k l | 2θ (°) | d_spacing | I (rel.) |
| --- | --- | --- | --- |
| 1 1 0 | 16.01 | 5.538 | 28 |
| 2 0 0 | 22.71 | 3.916 | 41 |
| 2 1 0 | 25.43 | 3.502 | 53 |
| 2 1 1 | 27.91 | 3.197 | 100 |
| 2 2 2 | 39.88 | 2.261 | 42 |
| 3 2 1 | 43.23 | 2.093 | 63 |
| 4 0 0 | 46.38 | 1.958 | 37 |
| 5 2 1 | 65.26 | 1.430 | 19 |
| 4 4 0 | 67.68 | 1.384 | 24 |
| 6 1 1 | 74.72 | 1.270 | 19 |

Starting from DFT lattice parameters and positions (GGA-PBE), the XRD peak list of LiTb3In3 was calculated for Cu Ka.

Cell and atoms:
Cell lengths 11.320, 4.662, 15.025 Å; angles 90.00, 108.94, 90.00 degrees
Space group C2/m (No. 12)
Asymmetric unit:
Li (0.242, 0.000, 0.399)
Tb (0.039, 0.500, 0.385)
Tb (0.096, 0.500, 0.918)
Tb (0.238, 0.500, 0.221)
In (0.029, 0.000, 0.237)
In (0.121, 0.000, 0.073)
In (0.134, 0.000, 0.553)

Main lines, low angle first (2θ from 15° to 90°):
| h k l | 2θ (°) | d_spacing | I (rel.) |
| --- | --- | --- | --- |
| 1 1 2 | 25.68 | 3.470 | 23 |
| 1 1 3 | 29.92 | 2.987 | 25 |
| 3 1 -1 | 30.53 | 2.928 | 36 |
| 1 1 -4 | 30.56 | 2.925 | 100 |
| 4 0 -2 | 31.66 | 2.826 | 47 |
| 3 1 -4 | 35.05 | 2.560 | 27 |
| 3 1 2 | 37.06 | 2.426 | 62 |
| 0 0 6 | 37.98 | 2.369 | 28 |
| 0 2 0 | 38.63 | 2.331 | 51 |
| 4 2 -2 | 50.78 | 1.798 | 26 |

Starting from DFT lattice parameters and positions (GGA-PBE), the XRD peak list of SiAsP was calculated for Cu Ka.

Cell and atoms:
Cell lengths 16.943, 5.300, 11.729 Å; angles 90.00, 129.27, 90.00 degrees
Space group Cc (No. 9)
Asymmetric unit:
Si (0.000, 0.076, 0.000)
Si (0.151, 0.163, 0.918)
Si (0.253, 0.087, 0.310)
As (0.013, 0.411, 0.866)
As (0.094, 0.201, 0.255)
As (0.320, 0.256, 0.995)
P (0.090, 0.296, 0.567)
P (0.225, 0.113, 0.612)
P (0.329, 0.466, 0.346)

Main lines, low angle first (2θ from 15° to 90°):
| h k l | 2θ (°) | d_spacing | I (rel.) |
| --- | --- | --- | --- |
| 0 0 2 | 19.55 | 4.540 | 26 |
| 3 1 -1 | 23.24 | 3.828 | 72 |
| 3 1 -2 | 23.99 | 3.710 | 31 |
| 3 1 0 | 26.43 | 3.373 | 23 |
| 4 0 0 | 27.19 | 3.279 | 29 |
| 1 1 -3 | 30.80 | 2.903 | 100 |
| 5 1 -2 | 31.39 | 2.850 | 20 |
| 6 0 -2 | 32.33 | 2.769 | 52 |
| 2 2 -2 | 37.25 | 2.414 | 23 |
| 2 0 -6 | 52.74 | 1.736 | 23 |

Starting from DFT lattice parameters and positions (GGA-PBE), the XRD peak list of Pm3Y6Mg was calculated for Cu Ka.

Cell and atoms:
Cell lengths 10.441, 5.326, 11.686 Å; angles 90.00, 97.41, 90.00 degrees
Space group P2_1/m (No. 11)
Asymmetric unit:
Pm (0.050, 0.250, 0.405)
Pm (0.155, 0.750, 0.212)
Pm (0.265, 0.250, 0.022)
Y (0.052, 0.750, 0.903)
Y (0.174, 0.250, 0.711)
Y (0.276, 0.750, 0.518)
Y (0.357, 0.750, 0.836)
Y (0.372, 0.250, 0.322)
Y (0.461, 0.750, 0.134)
Mg (0.450, 0.250, 0.597)

Main lines, low angle first (2θ from 15° to 90°):
| h k l | 2θ (°) | d_spacing | I (rel.) |
| --- | --- | --- | --- |
| 0 1 3 | 28.55 | 3.127 | 21 |
| 1 1 3 | 30.72 | 2.911 | 86 |
| 3 1 -1 | 31.00 | 2.884 | 100 |
| 2 0 -4 | 33.44 | 2.680 | 37 |
| 0 2 0 | 33.65 | 2.663 | 42 |
| 4 0 2 | 39.94 | 2.257 | 18 |
| 2 2 -4 | 48.17 | 1.889 | 26 |
| 4 2 2 | 53.19 | 1.722 | 16 |
| 5 1 -5 | 58.43 | 1.579 | 16 |
| 3 3 -1 | 58.54 | 1.577 | 16 |

Starting from DFT lattice parameters and positions (GGA-PBE), the XRD peak list of Cu13Se8 was calculated for Cu Ka.

Cell and atoms:
Cell lengths 11.449, 11.449, 11.449 Å; angles 90.00, 90.00, 90.00 degrees
Space group F-43m (No. 216)
Asymmetric unit:
Cu (0.000, 0.000, 0.000)
Cu (0.000, 0.000, 0.250)
Cu (0.007, 0.250, 0.750)
Se (0.123, 0.123, 0.623)
Se (0.128, 0.128, 0.128)

Main lines, low angle first (2θ from 15° to 90°):
| h k l | 2θ (°) | d_spacing | I (rel.) |
| --- | --- | --- | --- |
| 2 2 0 | 21.96 | 4.048 | 12 |
| 2 2 2 | 26.98 | 3.305 | 48 |
| 4 0 0 | 31.25 | 2.862 | 4 |
| 4 2 2 | 38.52 | 2.337 | 6 |
| 4 4 0 | 44.78 | 2.024 | 100 |
| 6 2 2 | 53.06 | 1.726 | 21 |
| 8 0 0 | 65.18 | 1.431 | 15 |
| 6 6 2 | 71.89 | 1.313 | 8 |
| 8 4 4 | 82.56 | 1.169 | 30 |
| 10 2 2 | 88.81 | 1.102 | 7 |